1.
Theoretical PXRD pattern
Compound: NaSi2H3O6
Radiation: Cu Kα, 1.54184 Å
Structure: DFT lattice parameters and positions (GGA-PBE)
No peak broadening, texture or thermal motion is included.

Structure:
```
data_NaSi2H3O6
_space_group_name_H-M_alt 'F d d 2'
_space_group_IT_number 43
_space_group_name_Hall 'F 2 -2d'
_cell_length_a 16.3258
_cell_length_b 18.2989
_cell_length_c 7.2095
_cell_angle_alpha 90.00
_cell_angle_beta 90.00
_cell_angle_gamma 90.00
loop_
_atom_site_label
_atom_site_fract_x
_atom_site_fract_y
_atom_site_fract_z
Na1 0.1105 0.4869 0.0000
Si1 0.0258 0.3420 0.4829
Si2 0.1019 0.2260 0.2381
H1 0.0047 0.1200 0.3909
H2 0.0153 0.1131 0.6099
H3 0.0864 0.0741 0.8291
O1 0.0080 0.0846 0.4926
O2 0.0145 0.1849 0.1860
O3 0.0410 0.1440 0.8267
O4 0.0810 0.4133 0.5419
O5 0.0899 0.2743 0.4287
O6 0.1190 0.0252 0.8129
```

Top 10 peaks for 2θ from 5° to 70°, low angle first:
h k l	2θ (°)	I/Imax
1 1 1	14.28	44
2 2 0	14.54	33
1 3 1	19.83	35
3 3 1	25.17	93
0 2 2	26.58	27
2 2 2	28.78	46
4 4 0	29.33	100
5 5 1	39.02	16
2 6 2	40.28	24
7 7 1	54.24	16

---

2.
Theoretical PXRD pattern
Compound: MgSn4Ru
Radiation: Cu Kα, 1.54184 Å
Structure: DFT lattice parameters and positions (GGA-PBE)
No peak broadening, texture or thermal motion is included.

Structure:
```
data_MgSn4Ru
_space_group_name_H-M_alt 'I 4/m c m'
_space_group_IT_number 140
_space_group_name_Hall '-I 4 2c'
_cell_length_a 6.8433
_cell_length_b 6.8433
_cell_length_c 11.3884
_cell_angle_alpha 90.00
_cell_angle_beta 90.00
_cell_angle_gamma 90.00
loop_
_atom_site_label
_atom_site_fract_x
_atom_site_fract_y
_atom_site_fract_z
Mg1 0.0000 0.0000 0.0000
Sn1 0.1551 0.3449 0.1399
Ru1 0.0000 0.0000 0.2500
```

Top 10 peaks for 2θ from 5° to 70°, low angle first:
h k l	2θ (°)	I/Imax
0 0 2	15.56	29
2 1 1	30.24	95
0 0 4	31.42	20
1 1 4	36.62	37
2 1 3	37.76	100
2 0 4	41.25	32
3 1 0	41.74	55
4 0 4	63.43	22
2 1 7	64.91	28
3 3 4	66.64	28